Entry 1:
Computed PXRD pattern of KFeH5S2O10 for Cu Kα (weighted mean of Kα1 and Kα2), from a cell relaxed with PBE+U.
Neutral-atom scattering factors, no anomalous dispersion.

Structural model:
abc: 5.177 6.401 7.740
angles: 99.69 102.25 94.20
Space group P1 (No. 1)
Symmetry-distinct sites (fractional):
K  0.000  0.000  0.000
Fe  0.004  0.917  0.500
H  0.237  0.484  0.273
H  0.303  0.705  0.787
H  0.632  0.058  0.251
H  0.727  0.245  0.414
H  0.898  0.598  0.648
S  0.559  0.204  0.691
S  0.578  0.596  0.186
O  0.047  0.705  0.656
O  0.157  0.835  0.324
O  0.263  0.140  0.675
O  0.331  0.418  0.182
O  0.435  0.774  0.055
O  0.494  0.738  0.875
O  0.595  0.366  0.576
O  0.686  0.005  0.633
O  0.738  0.479  0.080
O  0.796  0.137  0.330

Top 8 peaks for 2θ = 5–70°, in order of falling intensity:
| 2theta | d [Å] | intensity | hkl |
| --- | --- | --- | --- |
| 23.9 | 3.725 | 100 | 1 1 0 |
| 16.7 | 5.310 | 56 | 0 1 -1 |
| 14.1 | 6.269 | 54 | 0 1 0 |
| 33.7 | 2.658 | 49 | 0 2 -2 |
| 29.7 | 3.006 | 44 | 1 1 1 |
| 33.1 | 2.708 | 36 | 1 0 2 |
| 21.4 | 4.158 | 35 | 1 -1 0 |
| 24.0 | 3.714 | 28 | 0 0 2 |



Entry 2:
Computed PXRD pattern of Mn6O5F7 for Cu Kα (weighted mean of Kα1 and Kα2), from a cell relaxed with PBE+U.
Neutral-atom scattering factors, no anomalous dispersion.

Structural model:
abc: 5.139 5.749 14.558
angles: 86.21 87.93 89.21
Space group P1 (No. 1)
Symmetry-distinct sites (fractional):
Mn  0.000  0.000  0.000
Mn  0.003  0.999  0.668
Mn  0.436  0.295  0.319
Mn  0.465  0.782  0.158
Mn  0.475  0.792  0.495
Mn  0.480  0.269  0.994
Mn  0.489  0.768  0.839
Mn  0.510  0.299  0.658
Mn  0.945  0.432  0.160
Mn  0.965  0.422  0.830
Mn  0.976  0.370  0.496
Mn  0.991  0.984  0.325
O  0.141  0.227  0.246
O  0.163  0.234  0.921
O  0.188  0.243  0.594
O  0.257  0.066  0.408
O  0.301  0.015  0.068
O  0.622  0.497  0.226
O  0.651  0.482  0.901
O  0.673  0.498  0.561
O  0.798  0.219  0.064
O  0.814  0.238  0.730
F  0.132  0.725  0.238
F  0.148  0.755  0.918
F  0.181  0.767  0.596
F  0.279  0.507  0.084
F  0.280  0.542  0.419
F  0.300  0.508  0.759
F  0.349  0.025  0.746
F  0.659  0.996  0.253
F  0.695  0.990  0.919
F  0.696  0.016  0.573
F  0.756  0.275  0.393
F  0.812  0.766  0.412
F  0.818  0.745  0.080
F  0.835  0.747  0.752

Top 8 peaks for 2θ = 5–70°, in order of falling intensity:
| 2theta | d [Å] | intensity | hkl |
| --- | --- | --- | --- |
| 28.6 | 3.121 | 100 | 1 1 3 |
| 29.6 | 3.017 | 86 | -1 1 3 |
| 30.1 | 2.966 | 85 | 1 -1 3 |
| 23.3 | 3.825 | 76 | 0 1 3 |
| 30.7 | 2.914 | 76 | 1 1 -3 |
| 24.8 | 3.585 | 66 | 0 1 -3 |
| 50.9 | 1.793 | 50 | 2 0 6 |
| 52.9 | 1.731 | 41 | 2 0 -6 |



Entry 3:
Computed PXRD pattern of MgFe8O8F8 for Cu Kα (weighted mean of Kα1 and Kα2), from a cell relaxed with PBE+U.
Neutral-atom scattering factors, no anomalous dispersion.

Structural model:
abc: 9.789 3.072 9.878
angles: 90.00 95.51 90.00
Space group Pm (No. 6)
Symmetry-distinct sites (fractional):
Mg  0.000  0.000  0.000
Fe  0.030  0.500  0.480
Fe  0.032  0.500  0.743
Fe  0.265  0.000  0.227
Fe  0.288  0.000  0.720
Fe  0.529  0.500  0.999
Fe  0.556  0.500  0.502
Fe  0.729  0.000  0.256
Fe  0.739  0.000  0.785
O  0.118  0.000  0.844
O  0.182  0.500  0.614
O  0.615  0.000  0.922
O  0.628  0.000  0.414
O  0.636  0.500  0.172
O  0.671  0.500  0.674
O  0.881  0.500  0.867
O  0.956  0.000  0.592
F  0.109  0.000  0.361
F  0.128  0.500  0.107
F  0.367  0.500  0.336
F  0.384  0.500  0.842
F  0.398  0.000  0.079
F  0.436  0.000  0.578
F  0.858  0.500  0.354
F  0.879  0.000  0.136

Top 8 peaks for 2θ = 5–70°, in order of falling intensity:
| 2theta | d [Å] | intensity | hkl |
| --- | --- | --- | --- |
| 24.5 | 3.640 | 100 | 2 0 -2 |
| 27.0 | 3.306 | 85 | 2 0 2 |
| 34.5 | 2.598 | 83 | 2 1 0 |
| 40.1 | 2.250 | 65 | 2 1 2 |
| 34.4 | 2.605 | 38 | 0 1 2 |
| 52.5 | 1.742 | 36 | 2 1 4 |
| 31.6 | 2.836 | 32 | 3 0 -2 |
| 49.7 | 1.833 | 30 | 2 1 -4 |



Entry 4:
Computed PXRD pattern of BaNiP2O7 for Cu Kα (weighted mean of Kα1 and Kα2), from a cell relaxed with PBE+U.
Neutral-atom scattering factors, no anomalous dispersion.

Structural model:
abc: 5.344 7.488 7.687
angles: 102.30 91.74 95.06
Space group P-1 (No. 2)
Symmetry-distinct sites (fractional):
Ba  0.197  0.279  0.435
Ni  0.181  0.120  0.902
P  0.294  0.698  0.898
P  0.309  0.770  0.282
O  0.088  0.892  0.298
O  0.106  0.850  0.909
O  0.211  0.535  0.751
O  0.269  0.632  0.086
O  0.299  0.652  0.420
O  0.433  0.221  0.107
O  0.434  0.118  0.711

Top 8 peaks for 2θ = 5–70°, in order of falling intensity:
| 2theta | d [Å] | intensity | hkl |
| --- | --- | --- | --- |
| 29.5 | 3.025 | 100 | 1 1 -2 |
| 24.4 | 3.641 | 79 | 0 2 0 |
| 29.8 | 2.994 | 76 | 1 0 2 |
| 29.0 | 3.082 | 71 | 1 -2 1 |
| 33.7 | 2.658 | 43 | 2 0 0 |
| 28.4 | 3.141 | 40 | 1 0 -2 |
| 22.9 | 3.876 | 39 | 1 1 -1 |
| 40.6 | 2.222 | 37 | 2 0 -2 |



What did the second record say?
Computed PXRD pattern of Mn6O5F7 for Cu Kα (weighted mean of Kα1 and Kα2), from a cell relaxed with PBE+U.
Neutral-atom scattering factors, no anomalous dispersion.

Structural model:
abc: 5.139 5.749 14.558
angles: 86.21 87.93 89.21
Space group P1 (No. 1)
Symmetry-distinct sites (fractional):
Mn  0.000  0.000  0.000
Mn  0.003  0.999  0.668
Mn  0.436  0.295  0.319
Mn  0.465  0.782  0.158
Mn  0.475  0.792  0.495
Mn  0.480  0.269  0.994
Mn  0.489  0.768  0.839
Mn  0.510  0.299  0.658
Mn  0.945  0.432  0.160
Mn  0.965  0.422  0.830
Mn  0.976  0.370  0.496
Mn  0.991  0.984  0.325
O  0.141  0.227  0.246
O  0.163  0.234  0.921
O  0.188  0.243  0.594
O  0.257  0.066  0.408
O  0.301  0.015  0.068
O  0.622  0.497  0.226
O  0.651  0.482  0.901
O  0.673  0.498  0.561
O  0.798  0.219  0.064
O  0.814  0.238  0.730
F  0.132  0.725  0.238
F  0.148  0.755  0.918
F  0.181  0.767  0.596
F  0.279  0.507  0.084
F  0.280  0.542  0.419
F  0.300  0.508  0.759
F  0.349  0.025  0.746
F  0.659  0.996  0.253
F  0.695  0.990  0.919
F  0.696  0.016  0.573
F  0.756  0.275  0.393
F  0.812  0.766  0.412
F  0.818  0.745  0.080
F  0.835  0.747  0.752

Top 8 peaks for 2θ = 5–70°, in order of falling intensity:
| 2theta | d [Å] | intensity | hkl |
| --- | --- | --- | --- |
| 28.6 | 3.121 | 100 | 1 1 3 |
| 29.6 | 3.017 | 86 | -1 1 3 |
| 30.1 | 2.966 | 85 | 1 -1 3 |
| 23.3 | 3.825 | 76 | 0 1 3 |
| 30.7 | 2.914 | 76 | 1 1 -3 |
| 24.8 | 3.585 | 66 | 0 1 -3 |
| 50.9 | 1.793 | 50 | 2 0 6 |
| 52.9 | 1.731 | 41 | 2 0 -6 |